Diffraction record for PmScMo. The powder X-ray diffraction pattern is calculated, not measured: it uses the GGA-PBE geometry in Alexandria and Cu Kα, 1.54184 Å.
Intensities are scaled so that the largest is 100.

Top 12 peaks for 2θ from 10° to 90°, low angle first:
- 2θ 15.2, I = 26.1
- 2θ 21.2, I = 19.1
- 2θ 23.0, I = 31.9
- 2θ 26.8, I = 23.9
- 2θ 30.4, I = 24.6
- 2θ 32.9, I = 100.0
- 2θ 35.6, I = 23.4
- 2θ 36.3, I = 14.6
- 2θ 37.0, I = 34.3
- 2θ 38.7, I = 27.8
- 2θ 40.1, I = 32.0
- 2θ 48.4, I = 21.3

Crystal structure
```
data_PmScMo
_chemical_formula_sum 'Pm4 Sc4 Mo4'
_cell_length_a 11.7154
_cell_length_b 4.5012
_cell_length_c 5.8145
_cell_angle_alpha 90.00
_cell_angle_beta 97.12
_cell_angle_gamma 90.00
_space_group_name_H-M_alt 'C 1 2/m 1'
_space_group_IT_number 12
_space_group_name_Hall '-C 2y'
loop_
_atom_site_label
_atom_site_type_symbol
_atom_site_fract_x
_atom_site_fract_y
_atom_site_fract_z
Pm1 Pm 0.1262 0.0000 0.3438
Sc1 Sc 0.0849 0.5000 0.7834
Mo1 Mo 0.2401 0.0000 0.8798
```